No. 1
Calculated powder diffraction line list
Compound: DyBeRhC
Radiation: Cu Kα X-rays
Structure: a DFT-relaxed cell (GGA-PBE, Alexandria)
Lines closer than 0.1° are merged.

Crystal structure
a b c (Å): 3.669 3.669 8.486
angles (deg): 90.00 90.00 90.00
Fractional positions:
Dy 0.250 0.250 0.153
Dy 0.750 0.750 0.847
Be 0.250 0.250 0.672
Be 0.750 0.750 0.328
Rh 0.250 0.750 0.500
Rh 0.750 0.250 0.500
C 0.250 0.250 0.870
C 0.750 0.750 0.130

Top 10 peaks for 15° ≤ 2θ ≤ 90°, by intensity:
2theta	Rel. int.
36.21	100
26.47	76
32.26	70
31.63	61
49.69	51
60.10	51
40.77	48
55.99	39
81.64	26
60.50	24

=====

No. 2
Calculated powder diffraction line list
Compound: Ho6Ir2Pt
Radiation: Cu Kα X-rays
Structure: a DFT-relaxed cell (GGA-PBE, Alexandria)
Lines closer than 0.1° are merged.

Crystal structure
a b c (Å): 6.617 7.194 11.586
angles (deg): 90.00 121.25 90.00
Fractional positions:
Ho 0.087 0.052 0.257
Ho 0.087 0.448 0.757
Ho 0.264 0.671 0.082
Ho 0.264 0.829 0.582
Ho 0.410 0.181 0.069
Ho 0.410 0.319 0.569
Ho 0.590 0.681 0.431
Ho 0.590 0.819 0.931
Ho 0.736 0.171 0.418
Ho 0.736 0.329 0.918
Ho 0.913 0.552 0.243
Ho 0.913 0.948 0.743
Ir 0.316 0.116 0.767
Ir 0.316 0.384 0.267
Ir 0.684 0.616 0.733
Ir 0.684 0.884 0.233
Pt 0.000 0.000 0.000
Pt 0.000 0.500 0.500

Top 10 peaks for 15° ≤ 2θ ≤ 90°, by intensity:
2theta	Rel. int.
30.66	100
31.01	68
29.44	68
36.96	44
33.48	44
40.00	43
33.19	41
45.87	40
47.93	34
34.09	33

=====

No. 3
Calculated powder diffraction line list
Compound: Ho3Er4In
Radiation: Cu Kα X-rays
Structure: a DFT-relaxed cell (GGA-PBE, Alexandria)
Lines closer than 0.1° are merged.

Crystal structure
a b c (Å): 11.102 6.959 6.109
angles (deg): 90.00 90.00 90.00
Fractional positions:
Ho 0.000 0.127 0.000
Ho 0.243 0.383 0.195
Ho 0.257 0.617 0.695
Ho 0.500 0.873 0.500
Ho 0.743 0.617 0.695
Ho 0.757 0.383 0.195
Er 0.000 0.371 0.529
Er 0.000 0.870 0.527
Er 0.240 0.874 0.175
Er 0.260 0.126 0.675
Er 0.500 0.130 0.027
Er 0.500 0.629 0.029
Er 0.740 0.126 0.675
Er 0.760 0.874 0.175
In 0.000 0.624 0.017
In 0.500 0.376 0.517

Top 10 peaks for 15° ≤ 2θ ≤ 90°, by intensity:
2theta	Rel. int.
33.76	100
33.49	51
32.25	37
29.55	24
62.56	21
58.48	20
52.04	19
63.82	16
44.30	16
29.24	12

=====

No. 4
Calculated powder diffraction line list
Compound: Ac3EuCu
Radiation: Cu Kα X-rays
Structure: a DFT-relaxed cell (GGA-PBE, Alexandria)
Lines closer than 0.1° are merged.

Crystal structure
a b c (Å): 5.969 5.969 5.969
angles (deg): 90.00 90.00 90.00
Fractional positions:
Ac 0.000 0.000 0.500
Ac 0.000 0.500 0.000
Ac 0.500 0.000 0.000
Eu 0.500 0.500 0.500
Cu 0.000 0.000 0.000

Top 10 peaks for 15° ≤ 2θ ≤ 90°, by intensity:
2theta	Rel. int.
25.85	100
29.94	74
42.85	56
50.73	50
70.56	26
68.52	21
53.15	20
78.50	20
84.31	16
62.21	9

=====

No. 5
Calculated powder diffraction line list
Compound: CeMg2H7
Radiation: Cu Kα X-rays
Structure: a DFT-relaxed cell (GGA-PBE, Alexandria)
Lines closer than 0.1° are merged.

Crystal structure
a b c (Å): 6.238 6.238 9.339
angles (deg): 90.00 90.00 90.00
Fractional positions:
Ce 0.230 0.230 0.000
Ce 0.270 0.730 0.250
Ce 0.730 0.270 0.750
Ce 0.770 0.770 0.500
Mg 0.026 0.738 0.900
Mg 0.238 0.474 0.650
Mg 0.262 0.974 0.600
Mg 0.474 0.238 0.350
Mg 0.526 0.762 0.850
Mg 0.738 0.026 0.100
Mg 0.762 0.526 0.150
Mg 0.974 0.262 0.400
H 0.033 0.962 0.378
H 0.038 0.967 0.122
H 0.062 0.423 0.822
H 0.077 0.562 0.072
H 0.155 0.694 0.501
H 0.194 0.345 0.251
H 0.243 0.757 0.750
H 0.257 0.257 0.500
H 0.306 0.845 0.999
H 0.345 0.194 0.749
H 0.423 0.062 0.178
H 0.438 0.923 0.428
H 0.462 0.467 0.128
H 0.467 0.462 0.872
H 0.533 0.538 0.372
H 0.538 0.533 0.628
H 0.562 0.077 0.928
H 0.577 0.938 0.678
H 0.655 0.806 0.249
H 0.694 0.155 0.499
H 0.743 0.743 0.000
H 0.757 0.243 0.250
H 0.806 0.655 0.751
H 0.845 0.306 0.001
H 0.923 0.438 0.572
H 0.938 0.577 0.322
H 0.962 0.033 0.622
H 0.967 0.038 0.878

Top 10 peaks for 15° ≤ 2θ ≤ 90°, by intensity:
2theta	Rel. int.
27.82	100
33.53	96
17.09	94
32.13	59
28.62	47
50.21	39
48.72	23
53.89	22
57.48	21
43.56	19

=====

No. 6
Calculated powder diffraction line list
Compound: Ta2TiTe2S4
Radiation: Cu Kα X-rays
Structure: a DFT-relaxed cell (GGA-PBE, Alexandria)
Lines closer than 0.1° are merged.

Crystal structure
a b c (Å): 3.396 3.396 21.575
angles (deg): 90.00 90.00 120.00
Fractional positions:
Ta 0.000 0.000 0.000
Ta 0.333 0.667 0.313
Ti 0.333 0.667 0.670
Te 0.000 0.000 0.579
Te 0.000 0.000 0.761
S 0.000 0.000 0.241
S 0.000 0.000 0.385
S 0.333 0.667 0.071
S 0.333 0.667 0.928

Top 10 peaks for 15° ≤ 2θ ≤ 90°, by intensity:
2theta	Rel. int.
36.99	100
30.40	54
16.43	49
45.64	39
34.75	37
54.01	35
30.68	29
31.53	25
32.91	21
67.27	17

=====

No. 7
Calculated powder diffraction line list
Compound: CsCoCuBr5
Radiation: Cu Kα X-rays
Structure: a DFT-relaxed cell (GGA-PBE, Alexandria)
Lines closer than 0.1° are merged.

Crystal structure
a b c (Å): 8.178 8.178 9.057
angles (deg): 99.45 99.45 101.36
Fractional positions:
Cs 0.140 0.860 0.750
Cs 0.860 0.140 0.250
Co 0.219 0.781 0.250
Co 0.781 0.219 0.750
Cu 0.500 0.500 0.000
Cu 0.500 0.500 0.500
Br 0.043 0.266 0.919
Br 0.215 0.557 0.391
Br 0.266 0.043 0.419
Br 0.429 0.571 0.750
Br 0.443 0.785 0.109
Br 0.557 0.215 0.891
Br 0.571 0.429 0.250
Br 0.734 0.957 0.581
Br 0.785 0.443 0.609
Br 0.957 0.734 0.081

Top 10 peaks for 15° ≤ 2θ ≤ 90°, by intensity:
2theta	Rel. int.
17.72	100
26.71	79
30.45	63
26.00	62
22.87	58
21.15	57
30.03	57
26.95	47
29.16	42
33.67	38

=====

No. 8
Calculated powder diffraction line list
Compound: Ca3Bi4Rh8
Radiation: Cu Kα X-rays
Structure: a DFT-relaxed cell (GGA-PBE, Alexandria)
Lines closer than 0.1° are merged.

Crystal structure
a b c (Å): 9.421 9.421 9.421
angles (deg): 60.00 60.00 60.00
Fractional positions:
Ca 0.230 0.230 0.770
Ca 0.230 0.770 0.230
Ca 0.230 0.770 0.770
Ca 0.770 0.230 0.230
Ca 0.770 0.230 0.770
Ca 0.770 0.770 0.230
Bi 0.000 0.000 0.000
Bi 0.000 0.000 0.500
Bi 0.000 0.500 0.000
Bi 0.000 0.500 0.500
Bi 0.500 0.000 0.000
Bi 0.500 0.000 0.500
Bi 0.500 0.500 0.000
Bi 0.500 0.500 0.500
Rh 0.137 0.621 0.621
Rh 0.172 0.172 0.172
Rh 0.172 0.172 0.483
Rh 0.172 0.483 0.172
Rh 0.379 0.379 0.379
Rh 0.379 0.379 0.863
Rh 0.379 0.863 0.379
Rh 0.483 0.172 0.172
Rh 0.517 0.828 0.828
Rh 0.621 0.137 0.621
Rh 0.621 0.621 0.137
Rh 0.621 0.621 0.621
Rh 0.828 0.517 0.828
Rh 0.828 0.828 0.517
Rh 0.828 0.828 0.828
Rh 0.863 0.379 0.379

Top 10 peaks for 15° ≤ 2θ ≤ 90°, by intensity:
2theta	Rel. int.
38.21	100
23.12	45
45.14	45
69.07	29
73.93	14
34.99	14
86.41	13
81.78	13
40.03	13
44.59	10

=====

No. 9
Calculated powder diffraction line list
Compound: HgPRh3
Radiation: Cu Kα X-rays
Structure: a DFT-relaxed cell (GGA-PBE, Alexandria)
Lines closer than 0.1° are merged.

Crystal structure
a b c (Å): 4.400 4.400 4.400
angles (deg): 90.00 90.00 90.00
Fractional positions:
Hg 0.000 0.000 0.000
P 0.500 0.500 0.500
Rh 0.000 0.500 0.500
Rh 0.500 0.000 0.500
Rh 0.500 0.500 0.000

Top 10 peaks for 15° ≤ 2θ ≤ 90°, by intensity:
2theta	Rel. int.
35.33	100
41.02	63
59.41	42
71.05	39
28.69	17
74.73	14
50.82	7
88.98	7
20.18	4
81.92	4

=====

No. 10
Calculated powder diffraction line list
Compound: Fe3H4
Radiation: Cu Kα X-rays
Structure: a DFT-relaxed cell (GGA-PBE, Alexandria)
Lines closer than 0.1° are merged.

Crystal structure
a b c (Å): 4.810 4.810 4.810
angles (deg): 109.47 109.47 109.47
Fractional positions:
Fe 0.125 0.750 0.875
Fe 0.250 0.625 0.375
Fe 0.375 0.250 0.625
Fe 0.625 0.375 0.250
Fe 0.750 0.875 0.125
Fe 0.875 0.125 0.750
H 0.000 0.367 0.500
H 0.000 0.867 0.500
H 0.133 0.133 0.133
H 0.367 0.500 0.000
H 0.500 0.000 0.367
H 0.500 0.000 0.867
H 0.633 0.633 0.633
H 0.867 0.500 0.000

Top 8 peaks for 15° ≤ 2θ ≤ 90°, by intensity:
2theta	Rel. int.
39.75	100
52.07	31
76.74	17
62.58	17
81.24	11
46.23	10
85.69	3
67.45	2

=====

No. 11
Calculated powder diffraction line list
Compound: Tb6DyHo5
Radiation: Cu Kα X-rays
Structure: a DFT-relaxed cell (GGA-PBE, Alexandria)
Lines closer than 0.1° are merged.

Crystal structure
a b c (Å): 6.123 6.123 11.710
angles (deg): 94.97 94.97 119.94
Fractional positions:
Tb 0.084 0.417 0.750
Tb 0.249 0.249 0.250
Tb 0.417 0.084 0.750
Tb 0.583 0.916 0.250
Tb 0.751 0.751 0.750
Tb 0.916 0.583 0.250
Dy 0.500 0.500 0.000
Ho 0.000 0.000 0.500
Ho 0.167 0.833 0.000
Ho 0.333 0.667 0.500
Ho 0.667 0.333 0.500
Ho 0.833 0.167 0.000

Top 10 peaks for 15° ≤ 2θ ≤ 90°, by intensity:
2theta	Rel. int.
30.99	100
35.93	51
51.73	36
61.49	21
61.56	21
64.59	12
84.45	12
87.24	8
84.55	6
87.14	6

=====

No. 12
Calculated powder diffraction line list
Compound: Ba3TbZr2O9
Radiation: Cu Kα X-rays
Structure: a DFT-relaxed cell (GGA-PBE, Alexandria)
Lines closer than 0.1° are merged.

Crystal structure
a b c (Å): 6.124 6.124 7.513
angles (deg): 90.00 90.00 120.00
Fractional positions:
Ba 0.000 0.000 0.000
Ba 0.333 0.667 0.667
Ba 0.667 0.333 0.333
Tb 0.000 0.000 0.500
Zr 0.333 0.667 0.164
Zr 0.667 0.333 0.836
O 0.000 0.500 0.000
O 0.172 0.344 0.324
O 0.172 0.828 0.324
O 0.344 0.172 0.676
O 0.500 0.000 0.000
O 0.500 0.500 0.000
O 0.656 0.828 0.324
O 0.828 0.172 0.676
O 0.828 0.656 0.676

Top 10 peaks for 15° ≤ 2θ ≤ 90°, by intensity:
2theta	Rel. int.
29.15	100
51.67	41
41.69	31
60.43	19
68.48	18
83.43	11
83.52	11
76.13	5
35.90	4
76.00	2